1.
For Sb2Pb4Au, a GGA-PBE-relaxed structure gives the calculated X-ray powder pattern in this record (λ = 1.5418 Å (Cu Kα)).
Kinematic intensities with the Lorentz-polarization factor, no thermal factor.

Structure:
a b c (Å): 6.8972 8.3561 9.1253
angles (deg): 112.27 106.40 102.02
Atoms (fractional coordinates):
Sb 0.0000 0.0000 0.0000
Sb 0.1253 0.6252 0.2503
Sb 0.3595 0.5043 0.8212
Sb 0.6633 0.3069 0.4279
Pb 0.0908 0.3113 0.3725
Pb 0.1688 0.7806 0.7141
Pb 0.3602 0.0885 0.5598
Pb 0.4394 0.2772 0.0556
Pb 0.5089 0.8467 0.1943
Pb 0.5799 0.6910 0.5363
Pb 0.8422 0.5636 0.8773
Pb 0.9257 0.1536 0.6906
Au 0.6192 0.0374 0.8519
Au 0.8921 0.8108 0.3979

Principal peaks in the range 10° ≤ 2θ ≤ 90°, sorted by position:
2θ (°)  I_rel
27.65  32
28.38  36
28.84  100
31.26  63
31.82  96
41.04  35

---

2.
For Sb2PbAu4, a GGA-PBE-relaxed structure gives the calculated X-ray powder pattern in this record (λ = 1.5418 Å (Cu Kα)).
Kinematic intensities with the Lorentz-polarization factor, no thermal factor.

Structure:
a b c (Å): 9.2920 9.2920 5.9685
angles (deg): 96.03 96.03 39.33
Atoms (fractional coordinates):
Sb 0.0575 0.2850 0.1500
Sb 0.2850 0.0575 0.6500
Sb 0.7150 0.9425 0.3500
Sb 0.9425 0.7150 0.8500
Pb 0.3051 0.6949 0.7500
Pb 0.6949 0.3051 0.2500
Au 0.1703 0.6721 0.2617
Au 0.2550 0.3653 0.5213
Au 0.3279 0.8297 0.2383
Au 0.3653 0.2550 0.0213
Au 0.6347 0.7450 0.9787
Au 0.6721 0.1703 0.7617
Au 0.7450 0.6347 0.4787
Au 0.8297 0.3279 0.7383

Principal peaks in the range 10° ≤ 2θ ≤ 90°, sorted by position:
2θ (°)  I_rel
30.38  100
31.74  100
32.98  73
34.42  80
40.40  75
41.99  77

---

3.
For Sb2Pb2Au, a GGA-PBE-relaxed structure gives the calculated X-ray powder pattern in this record (λ = 1.5418 Å (Cu Kα)).
Kinematic intensities with the Lorentz-polarization factor, no thermal factor.

Structure:
a b c (Å): 8.6722 8.6722 8.6722
angles (deg): 137.12 59.08 141.35
Atoms (fractional coordinates):
Sb 0.0876 0.1561 0.2437
Sb 0.4124 0.6561 0.0685
Sb 0.5876 0.3439 0.9315
Sb 0.9124 0.8439 0.7563
Pb 0.1850 0.6649 0.8500
Pb 0.3150 0.1649 0.4799
Pb 0.6850 0.8351 0.5201
Pb 0.8150 0.3351 0.1500
Au 0.2500 0.7500 0.5000
Au 0.7500 0.2500 0.5000

Principal peaks in the range 10° ≤ 2θ ≤ 90°, sorted by position:
2θ (°)  I_rel
15.16  25
31.70  88
32.84  100
33.41  20
38.82  29
62.69  33

---

4.
For SbPb8Au2, a GGA-PBE-relaxed structure gives the calculated X-ray powder pattern in this record (λ = 1.5418 Å (Cu Kα)).
Kinematic intensities with the Lorentz-polarization factor, no thermal factor.

Structure:
a b c (Å): 7.8114 7.8114 5.9335
angles (deg): 98.15 98.15 109.98
Atoms (fractional coordinates):
Sb 0.0000 0.0000 0.0000
Pb 0.0710 0.3294 0.6265
Pb 0.2498 0.7502 0.0000
Pb 0.3294 0.0710 0.6265
Pb 0.3680 0.3680 0.1865
Pb 0.6320 0.6320 0.8135
Pb 0.6706 0.9290 0.3735
Pb 0.7502 0.2498 0.0000
Pb 0.9290 0.6706 0.3735
Au 0.3219 0.6781 0.5000
Au 0.6781 0.3219 0.5000

Principal peaks in the range 10° ≤ 2θ ≤ 90°, sorted by position:
2θ (°)  I_rel
28.66  59
29.40  58
31.07  56
31.76  80
32.01  100
37.56  71

---

5.
For Sb3PbAu3, a GGA-PBE-relaxed structure gives the calculated X-ray powder pattern in this record (λ = 1.5418 Å (Cu Kα)).
Kinematic intensities with the Lorentz-polarization factor, no thermal factor.

Structure:
a b c (Å): 7.8439 7.8650 7.9851
angles (deg): 63.47 62.85 85.42
Atoms (fractional coordinates):
Sb 0.0361 0.3051 0.0540
Sb 0.2511 0.6703 0.3799
Sb 0.3591 0.2672 0.3551
Sb 0.6409 0.7328 0.6449
Sb 0.7489 0.3297 0.6201
Sb 0.9639 0.6949 0.9460
Pb 0.3190 0.9962 0.8866
Pb 0.6810 0.0038 0.1134
Au 0.0591 0.2891 0.7070
Au 0.3179 0.8378 0.5865
Au 0.4246 0.3411 0.9552
Au 0.5754 0.6589 0.0448
Au 0.6821 0.1622 0.4135
Au 0.9409 0.7109 0.2930

Principal peaks in the range 10° ≤ 2θ ≤ 90°, sorted by position:
2θ (°)  I_rel
26.69  58
27.45  80
36.51  61
38.49  56
39.33  64
40.06  100

---

6.
For SnSbPbAu2, a GGA-PBE-relaxed structure gives the calculated X-ray powder pattern in this record (λ = 1.5418 Å (Cu Kα)).
Kinematic intensities with the Lorentz-polarization factor, no thermal factor.

Structure:
a b c (Å): 6.9615 6.9615 10.4314
angles (deg): 121.45 121.45 38.57
Atoms (fractional coordinates):
Sn 0.0956 0.0956 0.4544
Sn 0.9044 0.9044 0.5456
Sb 0.3887 0.3887 0.1252
Sb 0.6113 0.6113 0.8748
Pb 0.1467 0.1467 0.1524
Pb 0.8533 0.8533 0.8476
Au 0.1748 0.1748 0.7747
Au 0.3555 0.3555 0.6566
Au 0.6445 0.6445 0.3434
Au 0.8252 0.8252 0.2253

Principal peaks in the range 10° ≤ 2θ ≤ 90°, sorted by position:
2θ (°)  I_rel
29.01  55
32.68  88
33.15  100
39.18  71
39.54  75
41.33  54

---

7.
For Sn2SbPbAu4, a GGA-PBE-relaxed structure gives the calculated X-ray powder pattern in this record (λ = 1.5418 Å (Cu Kα)).
Kinematic intensities with the Lorentz-polarization factor, no thermal factor.

Structure:
a b c (Å): 6.9301 5.8485 7.2306
angles (deg): 62.95 48.73 68.32
Atoms (fractional coordinates):
Sn 0.0000 0.0000 0.5000
Sn 0.5000 0.5000 0.0000
Sb 0.2496 0.2496 0.7504
Pb 0.7503 0.7503 0.2497
Au 0.0042 0.4956 0.5044
Au 0.2502 0.7495 0.7498
Au 0.4956 0.0042 0.9958
Au 0.7495 0.2502 0.2505

Principal peaks in the range 10° ≤ 2θ ≤ 90°, sorted by position:
2θ (°)  I_rel
30.82  100
31.11  49
41.17  23
44.36  75
52.49  23
57.41  18

---

8.
For TePb2AuSe4, a GGA-PBE-relaxed structure gives the calculated X-ray powder pattern in this record (λ = 1.5418 Å (Cu Kα)).
Kinematic intensities with the Lorentz-polarization factor, no thermal factor.

Structure:
a b c (Å): 8.1391 8.1391 8.9525
angles (deg): 116.57 116.57 90.18
Atoms (fractional coordinates):
Te 0.0000 0.5000 0.0000
Te 0.5000 0.0000 0.5000
Pb 0.0000 0.0000 0.0000
Pb 0.0000 0.0000 0.5000
Pb 0.0000 0.5000 0.5000
Pb 0.5000 0.0000 0.0000
Au 0.5000 0.5000 0.0000
Au 0.5000 0.5000 0.5000
Se 0.2344 0.6957 0.9477
Se 0.2356 0.2515 0.9446
Se 0.2515 0.2356 0.4446
Se 0.3043 0.7656 0.5523
Se 0.6957 0.2344 0.4477
Se 0.7485 0.7644 0.5554
Se 0.7644 0.7485 0.0554
Se 0.7656 0.3043 0.0523

Principal peaks in the range 10° ≤ 2θ ≤ 90°, sorted by position:
2θ (°)  I_rel
25.29  47
25.72  100
31.03  69
31.13  68
40.73  60
44.53  49

---

9.
For SiPbAu4, a GGA-PBE-relaxed structure gives the calculated X-ray powder pattern in this record (λ = 1.5418 Å (Cu Kα)).
Kinematic intensities with the Lorentz-polarization factor, no thermal factor.

Structure:
a b c (Å): 9.4829 9.4829 6.4557
angles (deg): 90.00 90.00 153.20
Atoms (fractional coordinates):
Si 0.1007 0.8993 0.7500
Si 0.8993 0.1007 0.2500
Pb 0.3991 0.6009 0.7500
Pb 0.6009 0.3991 0.2500
Au 0.0000 0.0000 0.0000
Au 0.0000 0.0000 0.5000
Au 0.1977 0.8023 0.0322
Au 0.1977 0.8023 0.4678
Au 0.3367 0.6633 0.2500
Au 0.6633 0.3367 0.7500
Au 0.8023 0.1977 0.5322
Au 0.8023 0.1977 0.9678

Principal peaks in the range 10° ≤ 2θ ≤ 90°, sorted by position:
2θ (°)  I_rel
31.66  97
33.90  61
34.83  100
41.08  54
42.36  37
42.52  40

---

10.
For Si2Pb3Au6, a GGA-PBE-relaxed structure gives the calculated X-ray powder pattern in this record (λ = 1.5418 Å (Cu Kα)).
Kinematic intensities with the Lorentz-polarization factor, no thermal factor.

Structure:
a b c (Å): 12.2929 12.2929 12.2929
angles (deg): 158.86 158.86 30.08
Atoms (fractional coordinates):
Si 0.0513 0.0513 0.0000
Si 0.9487 0.9487 0.0000
Pb 0.2998 0.2998 0.0000
Pb 0.5000 0.5000 0.0000
Pb 0.7002 0.7002 0.0000
Au 0.0970 0.5970 0.5000
Au 0.1784 0.1784 0.0000
Au 0.4030 0.9030 0.5000
Au 0.5970 0.0970 0.5000
Au 0.8216 0.8216 0.0000
Au 0.9030 0.4030 0.5000

Principal peaks in the range 10° ≤ 2θ ≤ 90°, sorted by position:
2θ (°)  I_rel
28.99  35
31.85  57
36.17  100
39.98  72
56.26  31
70.13  30